# 1
Starting from DFT lattice parameters and positions (GGA-PBE), the XRD peak list of YHfFeRu was simulated for Cu Kα (λ = 1.5418 Å).
Kinematic intensities with the Lorentz-polarization factor, no thermal factor.

Most intense lines, 10° ≤ 2θ ≤ 90°, by angle:
2theta, d [Å], intensity
23.5, 3.788, 11.8
27.2, 3.280, 7.4
38.8, 2.319, 100.0
45.9, 1.978, 6.5
56.1, 1.640, 16.8
61.6, 1.505, 2.8
63.4, 1.467, 3.1
70.3, 1.339, 33.6
83.3, 1.160, 10.6
88.1, 1.109, 2.3

Crystal structure
```
YHfFeRu
1.0
0.000 3.280 3.280
3.280 0.000 3.280
3.280 3.280 0.000
Y Hf Fe Ru
1 1 1 1
Cartesian
0.000 0.000 0.000 Y
3.280 3.280 3.280 Hf
4.920 4.920 4.920 Fe
1.640 1.640 1.640 Ru
```

# 2
Starting from DFT lattice parameters and positions (GGA-PBE), the XRD peak list of Hf4Fe7Si6 was simulated for Cu Kα (λ = 1.5418 Å).
Kinematic intensities with the Lorentz-polarization factor, no thermal factor.

Most intense lines, 10° ≤ 2θ ≤ 90°, by angle:
2theta, d [Å], intensity
23.0, 3.864, 50.6
32.8, 2.732, 84.5
40.4, 2.231, 100.0
47.0, 1.932, 58.3
53.0, 1.728, 30.8
58.5, 1.578, 27.0
68.7, 1.366, 32.6
73.5, 1.288, 16.7
78.2, 1.222, 18.6
82.9, 1.165, 31.0

Crystal structure
```
Hf4Fe7Si6
1.0
-3.864 3.864 3.864
3.864 -3.864 3.864
3.864 3.864 -3.864
Hf Fe Si
4 7 6
Cartesian
1.932 1.932 -1.932 Hf
1.932 -1.932 1.932 Hf
-1.932 1.932 1.932 Hf
1.932 1.932 1.932 Hf
0.000 0.000 0.000 Fe
3.864 1.932 0.000 Fe
3.864 0.000 1.932 Fe
1.932 3.864 0.000 Fe
1.932 0.000 3.864 Fe
0.000 3.864 1.932 Fe
0.000 1.932 3.864 Fe
2.459 0.000 0.000 Si
5.270 0.000 0.000 Si
0.000 2.459 0.000 Si
0.000 0.000 2.459 Si
0.000 5.270 0.000 Si
0.000 0.000 5.270 Si
```

# 3
Starting from DFT lattice parameters and positions (GGA-PBE), the XRD peak list of HfFe4Si was simulated for Cu Kα (λ = 1.5418 Å).
Kinematic intensities with the Lorentz-polarization factor, no thermal factor.

Most intense lines, 10° ≤ 2θ ≤ 90°, by angle:
2theta, d [Å], intensity
18.0, 4.941, 29.1
29.7, 3.006, 24.1
33.4, 2.679, 25.0
37.0, 2.431, 27.4
38.5, 2.340, 27.5
39.5, 2.280, 100.0
41.3, 2.187, 99.4
43.1, 2.099, 22.5
46.5, 1.953, 31.2
48.5, 1.879, 24.7

Crystal structure
```
HfFe4Si
1.0
7.515 0.000 0.000
0.000 3.189 0.000
0.000 0.000 6.559
Hf Fe Si
2 8 2
Cartesian
1.879 0.000 0.808 Hf
5.636 0.000 5.751 Hf
0.000 0.000 3.279 Fe
0.350 1.594 5.346 Fe
1.879 1.594 2.972 Fe
3.408 1.594 5.346 Fe
3.758 0.000 3.279 Fe
4.107 1.594 1.213 Fe
5.636 1.594 3.587 Fe
7.166 1.594 1.213 Fe
1.879 0.000 4.686 Si
5.636 0.000 1.872 Si
```

# 4
Starting from DFT lattice parameters and positions (GGA-PBE), the XRD peak list of SmHfFe10 was simulated for Cu Kα (λ = 1.5418 Å).
Kinematic intensities with the Lorentz-polarization factor, no thermal factor.

Most intense lines, 10° ≤ 2θ ≤ 90°, by angle:
2theta, d [Å], intensity
30.8, 2.903, 58.5
36.4, 2.467, 34.6
42.3, 2.136, 36.3
43.2, 2.093, 100.0
45.9, 1.978, 25.3
59.9, 1.543, 15.9
62.1, 1.495, 16.1
64.2, 1.452, 20.3
70.2, 1.341, 14.6
83.0, 1.163, 13.9

Crystal structure
```
SmHfFe10
1.0
3.957 0.000 0.000
0.000 4.939 0.000
0.000 0.000 8.538
Sm Hf Fe
1 1 10
Cartesian
0.000 0.000 0.000 Sm
0.000 2.469 4.269 Hf
0.000 0.000 2.910 Fe
0.000 0.000 5.628 Fe
0.000 2.469 1.500 Fe
0.000 2.469 7.037 Fe
1.978 0.000 4.269 Fe
1.978 1.257 2.211 Fe
1.978 1.257 6.326 Fe
1.978 2.469 0.000 Fe
1.978 3.682 2.211 Fe
1.978 3.682 6.326 Fe
```

# 5
Starting from DFT lattice parameters and positions (GGA-PBE), the XRD peak list of TbHfFe10 was simulated for Cu Kα (λ = 1.5418 Å).
Kinematic intensities with the Lorentz-polarization factor, no thermal factor.

Most intense lines, 10° ≤ 2θ ≤ 90°, by angle:
2theta, d [Å], intensity
30.9, 2.895, 60.2
36.6, 2.455, 35.0
42.5, 2.127, 24.3
42.6, 2.123, 12.1
43.4, 2.085, 100.0
45.9, 1.976, 25.3
60.1, 1.539, 16.2
64.4, 1.447, 20.5
70.5, 1.335, 14.6
83.2, 1.161, 14.0

Crystal structure
```
TbHfFe10
1.0
3.953 0.000 0.000
0.000 4.917 0.000
0.000 0.000 8.491
Tb Hf Fe
1 1 10
Cartesian
0.000 0.000 0.000 Tb
0.000 2.458 4.245 Hf
0.000 0.000 2.882 Fe
0.000 0.000 5.609 Fe
0.000 2.458 1.472 Fe
0.000 2.458 7.018 Fe
1.976 0.000 4.245 Fe
1.976 1.246 2.181 Fe
1.976 1.246 6.310 Fe
1.976 2.458 0.000 Fe
1.976 3.670 2.181 Fe
1.976 3.670 6.310 Fe
```

# 6
Starting from DFT lattice parameters and positions (GGA-PBE), the XRD peak list of Hf4Fe3Tc was simulated for Cu Kα (λ = 1.5418 Å).
Kinematic intensities with the Lorentz-polarization factor, no thermal factor.

Most intense lines, 10° ≤ 2θ ≤ 90°, by angle:
2theta, d [Å], intensity
28.1, 3.171, 23.9
35.4, 2.536, 0.8
40.2, 2.242, 100.0
49.8, 1.831, 7.1
58.2, 1.585, 16.7
65.9, 1.418, 9.6
73.1, 1.294, 33.4
86.9, 1.121, 10.8

Crystal structure
```
Hf4Fe3Tc
1.0
3.171 0.000 0.000
0.000 3.171 0.000
0.000 0.000 12.679
Hf Fe Tc
4 3 1
Cartesian
0.000 0.000 1.567 Hf
0.000 0.000 4.702 Hf
0.000 0.000 7.977 Hf
0.000 0.000 11.112 Hf
1.586 1.586 0.000 Fe
1.586 1.586 3.088 Fe
1.586 1.586 9.591 Fe
1.586 1.586 6.340 Tc
```

# 7
Starting from DFT lattice parameters and positions (GGA-PBE), the XRD peak list of Hf2Ti6Fe was simulated for Cu Kα (λ = 1.5418 Å).
Kinematic intensities with the Lorentz-polarization factor, no thermal factor.

Most intense lines, 10° ≤ 2θ ≤ 90°, by angle:
2theta, d [Å], intensity
12.8, 6.915, 23.5
22.3, 3.993, 47.1
25.8, 3.458, 9.2
38.5, 2.336, 100.0
39.1, 2.305, 74.9
56.0, 1.641, 32.4
70.4, 1.337, 31.7
70.8, 1.331, 12.9
78.3, 1.222, 18.1
84.0, 1.152, 8.0

Crystal structure
```
Hf2Ti6Fe
1.0
7.985 0.000 0.000
-3.993 6.915 0.000
0.000 0.000 2.881
Hf Ti Fe
2 6 1
Cartesian
0.000 4.610 0.000 Hf
3.993 2.305 0.000 Hf
-1.283 2.223 1.440 Ti
-2.709 4.692 1.440 Ti
2.567 0.000 1.440 Ti
1.283 2.223 1.440 Ti
5.418 0.000 1.440 Ti
2.709 4.692 1.440 Ti
0.000 0.000 0.000 Fe
```

# 8
Starting from DFT lattice parameters and positions (GGA-PBE), the XRD peak list of HfTi5Fe6 was simulated for Cu Kα (λ = 1.5418 Å).
Kinematic intensities with the Lorentz-polarization factor, no thermal factor.

Most intense lines, 10° ≤ 2θ ≤ 90°, by angle:
2theta, d [Å], intensity
14.0, 6.337, 6.0
14.9, 5.959, 5.1
20.5, 4.341, 5.7
22.2, 4.009, 5.0
26.8, 3.326, 7.0
42.8, 2.111, 100.0
62.1, 1.494, 10.2
62.3, 1.490, 5.0
78.4, 1.219, 19.8
78.6, 1.218, 9.8

Crystal structure
```
HfTi5Fe6
1.0
2.113 -6.337 0.000
2.113 6.337 0.000
0.000 0.000 5.959
Hf Ti Fe
1 5 6
Cartesian
0.000 0.000 0.000 Hf
0.000 0.000 2.980 Ti
2.113 2.146 0.000 Ti
2.113 2.117 2.980 Ti
2.113 -2.117 2.980 Ti
2.113 -2.146 0.000 Ti
2.113 4.188 1.512 Fe
2.113 4.188 4.447 Fe
2.113 0.000 1.536 Fe
2.113 0.000 4.424 Fe
2.113 -4.188 1.512 Fe
2.113 -4.188 4.447 Fe
```

Question: What is the formula in the eighth record?
Answer: HfTi5Fe6

Question: Which formula does entry 2 have?
Answer: Hf4Fe7Si6